Starting from DFT lattice parameters and positions (GGA-PBE), the PXRD pattern of AlZn2Ag8 was calculated for a wavelength of 1.5418 Å.

Cell and atoms:
a b c (Å): 14.6117 4.1521 6.3776
angles (deg): 90.00 104.60 90.00
Space group C2/m (No. 12)
Symmetry-distinct sites (fractional):
Al  0.0000  0.0000  0.0000 [2 per cell]
Zn  0.2228  0.5000  0.6419 [4 per cell]
Ag  0.0449  0.5000  0.7351 [4 per cell]
Ag  0.0950  0.0000  0.4547 [4 per cell]
Ag  0.1422  0.5000  0.1973 [4 per cell]
Ag  0.1796  0.0000  0.9183 [4 per cell]

Top 6 peaks for 5° ≤ 2θ ≤ 70°, by angle:
| 2θ (°) | d (Å) | Rel. int. |
| --- | --- | --- |
| 38.2 | 2.357 | 100 |
| 43.6 | 2.076 | 17 |
| 44.5 | 2.037 | 16 |
| 45.1 | 2.012 | 15 |
| 64.0 | 1.454 | 10 |
| 64.5 | 1.445 | 10 |